Theoretical powder diffraction line list of DyCr2Si2C for Cu Ka, from a DFT-relaxed cell (GGA-PBE, the Materials Project).
Peak positions follow from Bragg's law for the DFT cell and can differ from measured ones.

Crystal structure
```
6
Lattice="3.9788 0.0000 0.0000 0.0000 3.9788 0.0000 0.0000 0.0000 5.2352" Properties=species:S:1:pos:R:3 pbc="T T T"
Dy 0.0000 0.0000 0.0000
Cr 0.0000 1.9894 2.6176
Cr 1.9894 0.0000 2.6176
Si 1.9894 1.9894 1.2001
Si 1.9894 1.9894 4.0350
C 0.0000 0.0000 2.6176
```

Principal peaks in the range 2θ from 5° to 70°, in order of rising 2θ:
2θ (°)	I (rel.)
22.34	306
28.17	548
31.81	146
34.26	208
36.25	1000
41.29	501
45.60	407
54.46	186
58.25	167
62.65	153
63.19	279
66.46	125



Theoretical powder diffraction line list of LaAgAu2 for Cu Ka, from a DFT-relaxed cell (GGA-PBE, the Materials Project).
Peak positions follow from Bragg's law for the DFT cell and can differ from measured ones.

Crystal structure
```
4
Lattice="0.0000 3.5908 3.5908 3.5908 0.0000 3.5908 3.5908 3.5908 0.0000" Properties=species:S:1:pos:R:3 pbc="T T T"
La 0.0000 0.0000 0.0000
Ag 3.5908 3.5908 3.5908
Au 1.7954 1.7954 1.7954
Au 5.3862 5.3862 5.3862
```

Principal peaks in the range 2θ from 5° to 70°, in order of rising 2θ:
2θ (°)	I (rel.)
24.79	60
35.35	1000
43.66	20
50.86	178
57.38	29
63.46	365



Theoretical powder diffraction line list of Sr2MgReO6 for Cu Ka, from a DFT-relaxed cell (GGA-PBE, the Materials Project).
Peak positions follow from Bragg's law for the DFT cell and can differ from measured ones.

Crystal structure
```
10
Lattice="0.0000 3.9899 3.9899 3.9899 0.0000 3.9899 3.9899 3.9899 0.0000" Properties=species:S:1:pos:R:3 pbc="T T T"
Sr 1.9949 1.9949 1.9949
Sr 5.9848 5.9848 5.9848
Mg 0.0000 0.0000 0.0000
Re 3.9899 3.9899 3.9899
O 3.9899 3.9899 2.0557
O 3.9899 2.0557 3.9899
O 5.9241 3.9899 3.9899
O 2.0557 3.9899 3.9899
O 3.9899 5.9241 3.9899
O 3.9899 3.9899 5.9241
```

Principal peaks in the range 2θ from 5° to 70°, in order of rising 2θ:
2θ (°)	I (rel.)
19.27	475
22.28	46
31.72	1000
37.38	253
39.10	12
45.47	337
49.81	106
51.20	17
56.50	400
60.26	93
66.26	204
69.72	90



Theoretical powder diffraction line list of NdB4Ir4 for Cu Ka, from a DFT-relaxed cell (GGA-PBE, the Materials Project).
Peak positions follow from Bragg's law for the DFT cell and can differ from measured ones.

Crystal structure
```
18
Lattice="7.7027 0.0000 0.0000 0.0000 7.7027 0.0000 0.0000 0.0000 3.9945" Properties=species:S:1:pos:R:3 pbc="T T T"
Nd 1.9257 1.9257 0.9986
Nd 5.7770 5.7770 2.9958
B 0.2255 4.5577 0.5645
B 0.7064 7.4772 2.5617
B 3.1450 4.0768 2.5617
B 3.6259 6.9963 0.5645
B 4.0768 0.7064 3.4300
B 4.5577 3.6259 1.4328
B 6.9963 0.2255 1.4328
B 7.4772 3.1450 3.4300
Ir 0.7007 6.6213 0.5627
Ir 1.0814 4.5520 2.5599
Ir 2.7700 7.0020 2.5599
Ir 3.1507 4.9327 0.5627
Ir 4.5520 2.7700 3.4318
Ir 4.9327 0.7007 1.4346
Ir 6.6213 3.1507 1.4346
Ir 7.0020 1.0814 3.4318
```

Principal peaks in the range 2θ from 5° to 70°, in order of rising 2θ:
2θ (°)	I (rel.)
16.27	200
27.69	212
34.38	1000
36.90	612
40.07	253
43.52	128
47.00	224
48.31	136
53.18	142
58.55	151
64.87	191
68.81	133